Starting from a structure optimized by DFT (PBE), the powder XRD pattern of Pm7Tm4Mg was computed for Cu Kα (λ = 1.5418 Å).

Most intense lines, 2θ = 15–90°, sorted by position:
2θ = 26.13°, rel. 15, (1 1 -3); 2θ = 29.56°, rel. 100, (1 1 3); 2θ = 29.82°, rel. 88, (3 1 -2); 2θ = 31.76°, rel. 20, (1 1 -4); 2θ = 31.99°, rel. 19, (3 1 1); 2θ = 32.34°, rel. 81, (0 2 0); 2θ = 35.00°, rel. 35, (2 0 -5); 2θ = 35.81°, rel. 35, (4 0 1); 2θ = 48.38°, rel. 28, (2 2 -5); 2θ = 49.01°, rel. 28, (4 2 1); 2θ = 55.96°, rel. 18, (1 3 3); 2θ = 56.11°, rel. 16, (3 3 -2)

Crystal structure
```
data_Pm7Tm4Mg
_chemical_formula_sum 'Pm14 Tm8 Mg2'
_cell_length_a 11.2081
_cell_length_b 5.5388
_cell_length_c 13.0916
_cell_angle_alpha 90.00
_cell_angle_beta 105.48
_cell_angle_gamma 90.00
_symmetry_space_group_name_H-M 'C 1 2/m 1'
_symmetry_Int_Tables_number 12
loop_
_symmetry_equiv_pos_as_xyz
'x,y,z'
'-x,-y,-z'
'-x,y,-z'
'x,-y,z'
'x+1/2,y+1/2,z'
'-x+1/2,-y+1/2,-z'
'-x+1/2,y+1/2,-z'
'x+1/2,-y+1/2,z'
loop_
_atom_site_label
_atom_site_type_symbol
_atom_site_fract_x
_atom_site_fract_y
_atom_site_fract_z
Pm1 Pm 0.0000 0.0000 0.0000
Pm2 Pm 0.1386 0.0000 0.4677
Pm3 Pm 0.1583 0.5000 0.2570
Pm4 Pm 0.2271 0.5000 0.8962
Tm1 Tm 0.0480 0.0000 0.7778
Tm2 Tm 0.0917 0.5000 0.6271
Mg1 Mg 0.0000 0.5000 0.0000
```